For Pm5HoAl6, a cell relaxed with GGA-PBE gives the computed powder XRD pattern in this record (CuKα).
No peak broadening, texture or thermal motion is included.

Structure:
```
data_Pm5HoAl6
_chemical_formula_sum 'Pm10 Ho2 Al12'
_space_group_name_H-M_alt 'I m m m'
_space_group_IT_number 71
_space_group_name_Hall '-I 2 2'
_cell_length_a 5.207
_cell_length_b 7.354
_cell_length_c 15.617
_cell_angle_alpha 90.00
_cell_angle_beta 90.00
_cell_angle_gamma 90.00
loop_
_atom_site_label
_atom_site_type_symbol
_atom_site_fract_x
_atom_site_fract_y
_atom_site_fract_z
Pm1 Pm 0.000 0.000 0.000
Pm2 Pm 0.000 0.000 0.329
Pm3 Pm 0.000 0.500 0.336
Ho1 Ho 0.000 0.500 0.000
Al1 Al 0.000 0.237 0.500
Al2 Al 0.000 0.257 0.164
```

Peak list (12 most intense, 2θ from 15° to 90°, by angle)
| Position (°2θ) | d [Å] | intensity | h k l |
| --- | --- | --- | --- |
| 24.18 | 3.680 | 59 | 0 2 0 |
| 34.47 | 2.602 | 100 | 2 0 0 |
| 42.55 | 2.125 | 18 | 2 2 0 |
| 49.54 | 1.840 | 18 | 0 4 0 |
| 55.87 | 1.646 | 24 | 1 4 3 |
| 61.75 | 1.502 | 36 | 3 2 3 |
| 72.67 | 1.301 | 11 | 4 0 0 |
| 77.87 | 1.227 | 11 | 3 4 3 |
| 82.94 | 1.164 | 10 | 4 0 6 |
| 83.05 | 1.163 | 5 | 1 6 3 |
| 87.99 | 1.110 | 5 | 4 2 6 |
| 88.09 | 1.109 | 2 | 2 6 0 |

---

For Ce2SnN, a cell relaxed with GGA-PBE gives the computed powder XRD pattern in this record (CuKα).
No peak broadening, texture or thermal motion is included.

Structure:
```
data_Ce2SnN
_chemical_formula_sum 'Ce6 Sn3 N3'
_space_group_name_H-M_alt 'R -3 m'
_space_group_IT_number 166
_space_group_name_Hall '-R 3 2"'
_cell_length_a 3.5532
_cell_length_b 3.5532
_cell_length_c 24.4881
_cell_angle_alpha 90.00
_cell_angle_beta 90.00
_cell_angle_gamma 120.00
loop_
_atom_site_label
_atom_site_type_symbol
_atom_site_fract_x
_atom_site_fract_y
_atom_site_fract_z
Ce1 Ce 0.0000 0.0000 0.2239
Sn1 Sn 0.0000 0.0000 0.0000
N1 N 0.0000 0.0000 0.5000
```

Peak list (12 most intense, 2θ from 15° to 90°, by angle)
| Position (°2θ) | d [Å] | intensity | h k l |
| --- | --- | --- | --- |
| 29.25 | 3.053 | 24 | 1 0 1 |
| 29.94 | 2.984 | 16 | 0 1 2 |
| 32.57 | 2.749 | 100 | 1 0 4 |
| 32.92 | 2.721 | 38 | 0 0 9 |
| 34.42 | 2.606 | 66 | 0 1 5 |
| 41.62 | 2.170 | 17 | 0 1 8 |
| 51.43 | 1.777 | 37 | 1 1 0 |
| 57.35 | 1.607 | 19 | 1 0 13 |
| 60.92 | 1.521 | 13 | 0 1 14 |
| 62.21 | 1.492 | 15 | 0 2 4 |
| 62.43 | 1.488 | 37 | 1 1 9 |
| 84.86 | 1.143 | 13 | 2 1 4 |

---

For HfMnPt3, a cell relaxed with GGA-PBE gives the computed powder XRD pattern in this record (CuKα).
No peak broadening, texture or thermal motion is included.

Structure:
```
data_HfMnPt3
_chemical_formula_sum 'Hf4 Mn4 Pt12'
_space_group_name_H-M_alt 'C 1 2/c 1'
_space_group_IT_number 15
_cell_length_a 5.305
_cell_length_b 13.514
_cell_length_c 5.252
_cell_angle_alpha 90.00
_cell_angle_beta 110.50
_cell_angle_gamma 90.00
loop_
_space_group_symop_operation_xyz
'x,y,z'
'-x,-y,-z'
'-x,y,-z+1/2'
'x,-y,z+1/2'
'x+1/2,y+1/2,z'
'-x+1/2,-y+1/2,-z'
'-x+1/2,y+1/2,-z+1/2'
'x+1/2,-y+1/2,z+1/2'
loop_
_atom_site_label
_atom_site_type_symbol
_atom_site_fract_x
_atom_site_fract_y
_atom_site_fract_z
Hf1 Hf 0.000 0.177 0.250
Mn1 Mn 0.000 0.475 0.750
Pt1 Pt 0.000 0.000 0.000
Pt2 Pt 0.223 0.342 0.151
```

Peak list (12 most intense, 2θ from 15° to 90°, by angle)
| Position (°2θ) | d [Å] | intensity | h k l |
| --- | --- | --- | --- |
| 19.03 | 4.664 | 24 | 1 1 0 |
| 30.44 | 2.937 | 36 | 1 1 1 |
| 36.83 | 2.440 | 37 | 2 2 -1 |
| 37.89 | 2.374 | 10 | 1 5 0 |
| 38.61 | 2.332 | 11 | 2 2 0 |
| 38.97 | 2.311 | 11 | 0 2 2 |
| 40.08 | 2.250 | 100 | 0 6 0 |
| 43.76 | 2.068 | 18 | 2 4 -1 |
| 45.09 | 2.011 | 15 | 1 5 1 |
| 45.30 | 2.002 | 16 | 2 4 0 |
| 47.10 | 1.930 | 11 | 1 1 2 |
| 72.77 | 1.300 | 12 | 1 9 -2 |

---

For Nd4Ho2Mg, a cell relaxed with GGA-PBE gives the computed powder XRD pattern in this record (CuKα).
No peak broadening, texture or thermal motion is included.

Structure:
```
data_Nd4Ho2Mg
_chemical_formula_sum 'Nd4 Ho2 Mg1'
_space_group_name_H-M_alt 'P 1 2/m 1'
_space_group_IT_number 10
_cell_length_a 5.982
_cell_length_b 3.680
_cell_length_c 11.038
_cell_angle_alpha 90.00
_cell_angle_beta 99.67
_cell_angle_gamma 90.00
loop_
_space_group_symop_operation_xyz
'x,y,z'
'-x,-y,-z'
'-x,y,-z'
'x,-y,z'
loop_
_atom_site_label
_atom_site_type_symbol
_atom_site_fract_x
_atom_site_fract_y
_atom_site_fract_z
Nd1 Nd 0.046 0.000 0.206
Nd2 Nd 0.437 0.500 0.749
Ho1 Ho 0.000 0.500 0.500
Ho2 Ho 0.500 0.000 0.500
Mg1 Mg 0.500 0.000 0.000
```

Peak list (12 most intense, 2θ from 15° to 90°, by angle)
| Position (°2θ) | d [Å] | intensity | h k l |
| --- | --- | --- | --- |
| 24.54 | 3.627 | 38 | 0 0 3 |
| 29.04 | 3.074 | 61 | 1 1 -1 |
| 30.31 | 2.949 | 55 | 2 0 0 |
| 31.75 | 2.818 | 100 | 1 1 -2 |
| 32.78 | 2.732 | 24 | 2 0 1 |
| 32.93 | 2.720 | 41 | 0 0 4 |
| 34.36 | 2.610 | 99 | 1 1 2 |
| 35.88 | 2.503 | 34 | 2 0 -3 |
| 48.84 | 1.865 | 22 | 1 1 -5 |
| 52.17 | 1.753 | 26 | 3 1 -1 |
| 60.73 | 1.525 | 26 | 0 2 4 |
| 62.69 | 1.482 | 26 | 2 2 -3 |

---

For Ac8Ir3Os, a cell relaxed with GGA-PBE gives the computed powder XRD pattern in this record (CuKα).
No peak broadening, texture or thermal motion is included.

Structure:
```
data_Ac8Ir3Os
_chemical_formula_sum 'Ac24 Ir9 Os3'
_space_group_name_H-M_alt 'R -3 m'
_space_group_IT_number 166
_space_group_name_Hall '-R 3 2"'
_cell_length_a 8.8453
_cell_length_b 8.8453
_cell_length_c 20.0046
_cell_angle_alpha 90.00
_cell_angle_beta 90.00
_cell_angle_gamma 120.00
loop_
_atom_site_label
_atom_site_type_symbol
_atom_site_fract_x
_atom_site_fract_y
_atom_site_fract_z
Ac1 Ac 0.0000 0.0000 0.2433
Ac2 Ac 0.0039 0.5019 0.2437
Ir1 Ir 0.0000 0.5000 0.5000
Os1 Os 0.0000 0.0000 0.5000
```

Peak list (12 most intense, 2θ from 15° to 90°, by angle)
| Position (°2θ) | d [Å] | intensity | h k l |
| --- | --- | --- | --- |
| 23.65 | 3.762 | 13 | 0 2 1 |
| 24.89 | 3.577 | 24 | 2 0 2 |
| 29.37 | 3.041 | 100 | 0 2 4 |
| 39.34 | 2.290 | 11 | 0 2 7 |
| 40.81 | 2.211 | 43 | 2 2 0 |
| 43.10 | 2.099 | 11 | 2 2 3 |
| 43.21 | 2.094 | 34 | 2 0 8 |
| 51.07 | 1.788 | 22 | 4 0 4 |
| 60.93 | 1.520 | 12 | 0 4 8 |
| 67.34 | 1.391 | 20 | 2 4 4 |
| 70.78 | 1.331 | 15 | 2 2 12 |
| 75.94 | 1.253 | 15 | 4 2 8 |

---

For Re2Os3Rh3, a cell relaxed with GGA-PBE gives the computed powder XRD pattern in this record (CuKα).
No peak broadening, texture or thermal motion is included.

Structure:
```
data_Re2Os3Rh3
_chemical_formula_sum 'Re6 Os9 Rh9'
_space_group_name_H-M_alt 'R 3 2'
_space_group_IT_number 155
_space_group_name_Hall 'R 3 2"'
_cell_length_a 7.2876
_cell_length_b 7.2876
_cell_length_c 7.7777
_cell_angle_alpha 90.00
_cell_angle_beta 90.00
_cell_angle_gamma 120.00
loop_
_atom_site_label
_atom_site_type_symbol
_atom_site_fract_x
_atom_site_fract_y
_atom_site_fract_z
Re1 Re 0.0000 0.0000 0.2185
Os1 Os 0.0000 0.7020 0.0000
Rh1 Rh 0.0000 0.2815 0.5000
```

Peak list (12 most intense, 2θ from 15° to 90°, by angle)
| Position (°2θ) | d [Å] | intensity | h k l |
| --- | --- | --- | --- |
| 24.43 | 3.644 | 16 | 1 1 0 |
| 26.93 | 3.311 | 11 | 0 1 2 |
| 36.67 | 2.450 | 38 | 2 0 2 |
| 39.51 | 2.281 | 24 | 2 1 1 |
| 42.81 | 2.112 | 100 | 1 1 3 |
| 42.99 | 2.104 | 92 | 3 0 0 |
| 44.56 | 2.033 | 31 | 1 2 2 |
| 62.29 | 1.491 | 22 | 2 2 3 |
| 69.24 | 1.357 | 17 | 2 3 2 |
| 72.68 | 1.301 | 10 | 1 3 4 |
| 77.99 | 1.225 | 10 | 4 0 4 |
| 78.67 | 1.216 | 19 | 4 1 3 |

---

For KTl2SeO4, a cell relaxed with GGA-PBE gives the computed powder XRD pattern in this record (CuKα).
No peak broadening, texture or thermal motion is included.

Structure:
```
data_KTl2SeO4
_chemical_formula_sum 'K8 Tl16 Se8 O32'
_space_group_name_H-M_alt 'F d d d'
_space_group_IT_number 70
_cell_length_a 6.471
_cell_length_b 10.488
_cell_length_c 23.094
_cell_angle_alpha 90.00
_cell_angle_beta 90.00
_cell_angle_gamma 90.00
loop_
_space_group_symop_operation_xyz
'x,y,z'
'-x,-y,-z'
'-x+1/4,-y+1/4,z'
'x+1/4,y+1/4,-z'
'x,-y+1/4,-z+1/4'
'-x,y+1/4,z+1/4'
'-x+1/4,y,-z+1/4'
'x+1/4,-y,z+1/4'
'x,y+1/2,z+1/2'
'-x,-y+1/2,-z+1/2'
'-x+1/4,-y+3/4,z+1/2'
'x+1/4,y+3/4,-z+1/2'
'x,-y+3/4,-z+3/4'
'-x,y+3/4,z+3/4'
'-x+1/4,y+1/2,-z+3/4'
'x+1/4,-y+1/2,z+3/4'
'x+1/2,y,z+1/2'
'-x+1/2,-y,-z+1/2'
'-x+3/4,-y+1/4,z+1/2'
'x+3/4,y+1/4,-z+1/2'
'x+1/2,-y+1/4,-z+3/4'
'-x+1/2,y+1/4,z+3/4'
'-x+3/4,y,-z+3/4'
'x+3/4,-y,z+3/4'
'x+1/2,y+1/2,z'
'-x+1/2,-y+1/2,-z'
'-x+3/4,-y+3/4,z'
'x+3/4,y+3/4,-z'
'x+1/2,-y+3/4,-z+1/4'
'-x+1/2,y+3/4,z+1/4'
'-x+3/4,y+1/2,-z+1/4'
'x+3/4,-y+1/2,z+1/4'
loop_
_atom_site_label
_atom_site_type_symbol
_atom_site_fract_x
_atom_site_fract_y
_atom_site_fract_z
K1 K 0.125 0.125 0.125
Tl1 Tl 0.125 0.125 0.277
Se1 Se 0.125 0.125 0.625
O1 O 0.025 0.281 0.833
```

Peak list (12 most intense, 2θ from 15° to 90°, by angle)
| Position (°2θ) | d [Å] | intensity | h k l |
| --- | --- | --- | --- |
| 16.55 | 5.357 | 18 | 1 1 1 |
| 19.82 | 4.479 | 100 | 1 1 3 |
| 28.77 | 3.103 | 49 | 0 2 6 |
| 31.32 | 2.856 | 38 | 1 3 3 |
| 31.61 | 2.830 | 23 | 1 1 7 |
| 32.52 | 2.753 | 43 | 2 2 0 |
| 34.20 | 2.622 | 16 | 0 4 0 |
| 36.27 | 2.477 | 26 | 2 0 6 |
| 44.47 | 2.037 | 11 | 3 1 3 |
| 50.71 | 1.800 | 20 | 2 4 6 |
| 60.17 | 1.538 | 11 | 2 6 0 |
| 65.02 | 1.434 | 13 | 4 2 6 |

---

For Dy7MgRu4, a cell relaxed with GGA-PBE gives the computed powder XRD pattern in this record (CuKα).
No peak broadening, texture or thermal motion is included.

Structure:
```
data_Dy7MgRu4
_chemical_formula_sum 'Dy14 Mg2 Ru8'
_space_group_name_H-M_alt 'C 1 2/m 1'
_space_group_IT_number 12
_cell_length_a 13.552
_cell_length_b 5.419
_cell_length_c 9.689
_cell_angle_alpha 90.00
_cell_angle_beta 126.24
_cell_angle_gamma 90.00
loop_
_space_group_symop_operation_xyz
'x,y,z'
'-x,-y,-z'
'-x,y,-z'
'x,-y,z'
'x+1/2,y+1/2,z'
'-x+1/2,-y+1/2,-z'
'-x+1/2,y+1/2,-z'
'x+1/2,-y+1/2,z'
loop_
_atom_site_label
_atom_site_type_symbol
_atom_site_fract_x
_atom_site_fract_y
_atom_site_fract_z
Dy1 Dy 0.000 0.000 0.000
Dy2 Dy 0.077 0.500 0.375
Dy3 Dy 0.178 0.000 0.630
Dy4 Dy 0.214 0.500 0.877
Mg1 Mg 0.000 0.500 0.000
Ru1 Ru 0.065 0.000 0.779
Ru2 Ru 0.197 0.000 0.344
```

Peak list (12 most intense, 2θ from 15° to 90°, by angle)
| Position (°2θ) | d [Å] | intensity | h k l |
| --- | --- | --- | --- |
| 25.23 | 3.530 | 26 | 1 1 -2 |
| 27.48 | 3.246 | 23 | 4 0 -1 |
| 30.34 | 2.946 | 19 | 4 0 -3 |
| 32.55 | 2.751 | 32 | 3 1 -3 |
| 33.04 | 2.711 | 100 | 0 2 0 |
| 36.76 | 2.445 | 75 | 3 1 1 |
| 38.52 | 2.337 | 57 | 5 1 -3 |
| 38.70 | 2.327 | 15 | 2 0 -4 |
| 39.32 | 2.291 | 16 | 5 1 -1 |
| 43.51 | 2.080 | 15 | 4 2 -1 |
| 61.50 | 1.508 | 19 | 3 3 1 |
| 67.25 | 1.392 | 14 | 8 2 -2 |